Record 1
The following is a computed powder X-ray diffraction pattern of Ba3LaIr2O9. It was derived from a cell relaxed with GGA-PBE, using Cu Kα, 1.54184 Å.
Intensities are scaled so that the largest is 100.

The 10 most intense peaks (2θ = 5–70°), in order of falling intensity:
d/Å  I/Imax
3.011  100
1.739  24
3.084  20
3.067  19
3.051  18
1.506  18
4.940  17
2.160  11
2.148  11
2.138  10

```
Ba3LaIr2O9
1.0
3.012 -5.214 0.000
3.012 5.214 0.000
-0.194 0.000 15.169
Ba La Ir O
6 2 4 18
Cartesian
2.867 5.205 11.376
2.918 1.739 6.034
3.010 1.739 1.551
2.821 -1.739 13.618
2.913 -1.739 9.135
2.964 -5.205 3.792
0.000 0.000 0.000
-0.097 0.000 7.584
2.811 1.742 12.635
2.923 1.742 10.118
2.908 -1.742 5.051
3.020 -1.742 2.534
1.438 2.550 11.312
2.750 3.367 13.745
1.360 0.940 13.700
1.585 0.958 8.904
2.984 3.367 9.008
1.457 -0.940 6.116
1.682 -0.958 1.320
2.867 0.094 11.376
4.297 2.550 11.441
1.534 -2.550 3.728
2.964 -0.094 3.792
4.149 0.958 13.849
4.375 0.940 9.053
2.847 -3.367 6.160
4.246 -0.958 6.265
4.471 -0.940 1.469
3.081 -3.367 1.424
4.394 -2.550 3.857
```

Record 2
The following is a computed powder X-ray diffraction pattern of LaTiGe3. It was derived from a cell relaxed with GGA-PBE, using Cu Kα, 1.54184 Å.
Intensities are scaled so that the largest is 100.

The 10 most intense peaks (2θ = 5–70°), in order of falling intensity:
d/Å  I/Imax
2.492  100
2.962  33
2.014  30
1.604  25
2.608  22
3.172  21
1.960  15
1.586  15
2.747  12
1.398  11

```
LaTiGe3
1.0
6.344 0.000 0.000
-3.172 5.494 0.000
0.000 0.000 5.925
La Ti Ge
2 2 6
Cartesian
0.000 3.663 1.481
3.172 1.831 4.444
0.000 0.000 0.000
0.000 0.000 2.962
0.000 2.164 4.444
-1.298 4.412 4.444
1.874 1.082 1.481
1.298 4.412 4.444
4.470 1.082 1.481
3.172 3.330 1.481
```

Record 3
The following is a computed powder X-ray diffraction pattern of CaZr4O9. It was derived from a cell relaxed with GGA-PBE, using Cu Kα, 1.54184 Å.
Intensities are scaled so that the largest is 100.

The 10 most intense peaks (2θ = 5–70°), in order of falling intensity:
d/Å  I/Imax
2.936  100
3.064  56
3.131  55
15.655  52
1.844  36
1.873  35
2.575  28
1.896  21
2.684  18
1.754  18

```
CaZr4O9
1.0
15.684 -1.754 0.000
15.684 1.754 0.000
-0.393 0.000 6.491
Ca Zr O
2 8 18
Cartesian
0.000 0.000 0.000
15.487 0.000 3.245
2.655 0.000 4.408
6.104 0.000 2.594
9.287 0.000 0.655
12.065 0.000 5.172
18.910 0.000 1.319
21.688 0.000 5.835
24.870 0.000 3.897
28.320 0.000 2.083
0.614 0.000 4.570
2.200 0.000 0.691
4.014 0.000 2.675
5.374 0.000 4.972
7.206 0.000 0.763
8.605 0.000 2.990
9.981 0.000 5.314
12.107 0.000 0.975
13.202 0.000 3.431
17.773 0.000 3.060
18.868 0.000 5.516
20.993 0.000 1.177
22.370 0.000 3.501
23.769 0.000 5.728
25.601 0.000 1.518
26.961 0.000 3.815
28.775 0.000 5.799
30.361 0.000 1.921
```

Record 4
The following is a computed powder X-ray diffraction pattern of KGe2Se4. It was derived from a cell relaxed with GGA-PBE, using Cu Kα, 1.54184 Å.
Intensities are scaled so that the largest is 100.

The 10 most intense peaks (2θ = 5–70°), in order of falling intensity:
d/Å  I/Imax
3.085  100
6.640  49
6.284  42
3.314  40
3.416  32
3.562  30
2.088  28
2.484  27
1.956  27
3.142  25

```
KGe2Se4
1.0
7.859 0.000 0.000
0.000 12.568 0.000
-1.751 0.000 17.702
K Ge Se
8 16 32
Cartesian
1.291 0.742 5.868
0.416 5.542 14.719
0.313 1.401 16.871
1.189 4.883 8.020
4.918 7.685 9.683
5.794 11.167 0.831
5.692 7.025 2.983
4.816 11.826 11.834
-0.424 9.318 6.093
-1.300 9.533 14.944
0.818 8.892 11.989
1.693 9.960 3.138
2.165 8.576 0.231
1.289 10.276 9.082
3.439 2.984 2.608
2.563 3.300 11.459
3.544 9.268 6.243
2.668 9.583 15.095
4.818 2.292 8.621
3.942 3.992 17.472
4.414 2.608 14.564
5.290 3.676 5.713
7.407 3.034 2.758
6.532 3.249 11.609
-1.202 2.022 13.928
-0.327 4.262 5.077
-1.384 7.584 16.722
-0.508 11.267 7.871
1.637 1.433 2.559
0.762 4.851 11.410
1.027 7.921 9.738
1.903 10.931 0.887
2.065 7.629 2.474
1.190 11.223 11.325
1.723 7.796 6.083
0.847 11.055 14.934
2.516 1.905 9.423
3.392 4.379 0.571
2.551 1.648 13.273
3.427 4.636 4.421
2.680 7.931 13.281
3.556 10.920 4.430
2.715 8.189 17.131
3.591 10.663 8.280
5.260 1.512 2.768
4.384 4.772 11.619
4.918 1.345 6.378
4.042 4.939 15.229
4.204 1.637 16.816
5.080 4.647 7.965
5.346 7.716 6.292
4.470 11.135 15.143
6.615 1.300 9.831
7.491 4.983 0.980
6.434 8.306 12.626
7.310 10.546 3.774
```

Record 5
The following is a computed powder X-ray diffraction pattern of Rb2SbAuBr6. It was derived from a cell relaxed with GGA-PBE, using Cu Kα, 1.54184 Å.
Intensities are scaled so that the largest is 100.

The 10 most intense peaks (2θ = 5–70°), in order of falling intensity:
d/Å  I/Imax
2.819  100
1.993  72
5.637  53
3.986  53
2.521  29
2.301  25
1.627  25
3.255  25
1.879  15
1.507  13

```
Rb2SbAuBr6
1.0
0.000 5.637 5.637
5.637 0.000 5.637
5.637 5.637 0.000
Rb Sb Au Br
2 1 1 6
Cartesian
2.819 2.819 2.819
8.456 8.456 8.456
0.000 0.000 0.000
5.637 5.637 5.637
5.637 5.637 2.823
5.637 2.823 5.637
8.452 5.637 5.637
2.823 5.637 5.637
5.637 8.452 5.637
5.637 5.637 8.452
```

Record 6
The following is a computed powder X-ray diffraction pattern of FeSe. It was derived from a cell relaxed with GGA-PBE, using Cu Kα, 1.54184 Å.
Intensities are scaled so that the largest is 100.

The 10 most intense peaks (2θ = 5–70°), in order of falling intensity:
d/Å  I/Imax
2.153  100
2.168  51
1.533  16
1.511  8
3.067  3
3.022  1
1.762  1
1.355  1
1.367  1
1.371  1

```
FeSe
1.0
4.337 0.000 0.000
0.000 4.337 0.000
0.000 0.000 3.022
Fe Se
2 2
Cartesian
1.084 1.084 0.033
3.253 3.253 2.989
1.084 3.253 1.511
3.253 1.084 1.511
```

Record 7
The following is a computed powder X-ray diffraction pattern of Pd2N. It was derived from a cell relaxed with GGA-PBE, using Cu Kα, 1.54184 Å.
Intensities are scaled so that the largest is 100.

The 10 most intense peaks (2θ = 5–70°), in order of falling intensity:
d/Å  I/Imax
15.840  100
2.664  20
1.875  16
2.627  12
2.640  11
1.883  9
1.533  8
7.920  5
1.725  4
2.525  3

```
Pd2N
1.0
2.664 0.000 0.000
0.000 2.664 0.000
0.000 0.000 15.840
Pd N
4 2
Cartesian
0.000 0.000 1.289
0.000 0.000 3.864
0.000 0.000 11.976
0.000 0.000 14.550
1.332 1.332 7.364
1.332 1.332 8.475
```